Structure and computed X-ray diffraction stick pattern of Mg2H2Ir3 (DFT lattice parameters and positions (GGA-PBE); Cu Kα X-rays).

Most intense lines, 2θ = 10–90°, in order of rising 2θ:
hkl 0 0 1, d 6.241, I = 100
hkl 0 0 2, d 3.120, I = 12
hkl 1 1 -1, d 2.670, I = 18
hkl 4 0 -1, d 2.329, I = 14
hkl 4 0 -3, d 2.316, I = 27
hkl 1 1 -2, d 2.284, I = 68
hkl 3 1 -1, d 2.132, I = 54
hkl 0 0 3, d 2.080, I = 20
hkl 4 0 0, d 1.960, I = 16
hkl 4 0 -4, d 1.944, I = 12

Crystal structure
```
data_Mg2H2Ir3
_cell_length_a 10.008
_cell_length_b 2.842
_cell_length_c 7.966
_cell_angle_alpha 90.00
_cell_angle_beta 128.43
_cell_angle_gamma 90.00
_symmetry_space_group_name_H-M 'C 1 m 1'
_symmetry_Int_Tables_number 8
loop_
_symmetry_equiv_pos_as_xyz
'x,y,z'
'x,-y,z'
'x+1/2,y+1/2,z'
'x+1/2,-y+1/2,z'
loop_
_atom_site_label
_atom_site_type_symbol
_atom_site_fract_x
_atom_site_fract_y
_atom_site_fract_z
Mg1 Mg 0.000 0.000 0.000
Mg2 Mg 0.062 0.500 0.679
H1 H 0.280 0.000 0.841
H2 H 0.329 0.500 0.145
Ir1 Ir 0.270 0.000 0.623
Ir2 Ir 0.274 0.500 0.328
Ir3 Ir 0.487 0.000 0.295
```